(1)
# MnAl4
Simulated XRD peak list, copper Kα. Input: DFT lattice parameters and positions (GGA-PBE).
Neutral-atom scattering factors, no anomalous dispersion.

Structure:
```
5
Lattice="-3.1275 3.1275 1.8558 3.1275 -3.1275 1.8558 3.1275 3.1275 -1.8558" Properties=species:S:1:pos:R:3 pbc="T T T"
Mn 0.0000 0.0000 0.0000
Al 2.4707 1.2923 0.0000
Al 1.8352 -0.6567 1.8558
Al 1.2923 3.7842 0.0000
Al 0.6567 1.8352 1.8558
```

Largest 10 diffraction maxima, most intense first, 2θ from 10° to 90°:
d [Å]  intensity
2.234  100
1.978  33
1.185  23
1.353  18
1.856  13
4.423  13
1.399  11
1.131  10
1.117  10
3.192  8


(2)
# TbPm3Er6
Simulated XRD peak list, copper Kα. Input: DFT lattice parameters and positions (GGA-PBE).
Neutral-atom scattering factors, no anomalous dispersion.

Structure:
```
10
Lattice="6.1478 0.0000 0.0000 1.0252 6.0715 0.0000 3.0607 2.6031 8.4917" Properties=species:S:1:pos:R:3 pbc="T T T"
Tb 0.0000 0.0000 0.0000
Pm 4.0906 1.3858 2.5274
Pm 5.1168 4.3373 4.2458
Pm 6.1430 7.2888 5.9643
Er 1.0242 2.9605 1.6905
Er 9.2094 5.7142 6.8012
Er 2.0470 5.9001 3.3906
Er 6.1375 4.1691 7.6556
Er 4.0961 4.5055 0.8361
Er 8.1866 2.7746 5.1011
```

Largest 10 diffraction maxima, most intense first, 2θ from 10° to 90°:
d [Å]  intensity
2.900  100
2.512  51
1.776  36
1.515  36
1.153  10
1.124  10
1.450  9
1.152  7
1.513  7
1.123  6


(3)
# Ho8Tm3Th2
Simulated XRD peak list, copper Kα. Input: DFT lattice parameters and positions (GGA-PBE).
Neutral-atom scattering factors, no anomalous dispersion.

Structure:
```
13
Lattice="3.6521 -10.3535 0.0000 3.6521 10.3535 0.0000 0.0000 0.0000 5.6041" Properties=species:S:1:pos:R:3 pbc="T T T"
Ho 3.6521 7.4691 0.0000
Ho 2.0505 2.2485 2.8020
Ho 3.6521 3.4089 0.0000
Ho 2.0505 -2.2485 2.8020
Ho 5.2537 2.2485 2.8020
Ho 3.6521 -3.4089 0.0000
Ho 5.2537 -2.2485 2.8020
Ho 3.6521 -7.4691 0.0000
Tm 0.0000 0.0000 2.8020
Tm 1.9798 0.0000 0.0000
Tm 5.3243 0.0000 0.0000
Th 3.6521 5.2677 2.8020
Th 3.6521 -5.2677 2.8020
```

Largest 10 diffraction maxima, most intense first, 2θ from 10° to 90°:
d [Å]  intensity
2.634  100
2.802  39
2.939  38
3.444  23
1.583  22
3.030  16
2.588  14
2.174  13
1.515  13
1.530  11


(4)
# SrV2H8
Simulated XRD peak list, copper Kα. Input: DFT lattice parameters and positions (GGA-PBE).
Neutral-atom scattering factors, no anomalous dispersion.

Structure:
```
11
Lattice="4.5839 0.0000 0.0000 -2.2919 3.9698 0.0000 0.0000 0.0000 5.1016" Properties=species:S:1:pos:R:3 pbc="T T T"
Sr 0.0000 0.0000 0.0000
V 0.0000 2.6465 2.6208
V 2.2919 1.3232 2.6208
H -0.6058 1.0492 3.0213
H -1.2644 2.1900 1.4388
H 1.2115 0.0000 3.0213
H 0.0000 2.6465 4.3144
H 1.0275 1.7798 1.4388
H 2.5288 0.0000 1.4388
H 2.2919 1.3232 4.3144
H 1.6862 2.9205 3.0213
```

Largest 10 diffraction maxima, most intense first, 2θ from 10° to 90°:
d [Å]  intensity
3.133  100
2.292  39
1.705  29
1.850  21
1.439  18
2.551  17
1.563  12
1.175  8
1.125  8
1.114  7


What did the first record say?
# MnAl4
Simulated XRD peak list, copper Kα. Input: DFT lattice parameters and positions (GGA-PBE).
Neutral-atom scattering factors, no anomalous dispersion.

Structure:
```
5
Lattice="-3.1275 3.1275 1.8558 3.1275 -3.1275 1.8558 3.1275 3.1275 -1.8558" Properties=species:S:1:pos:R:3 pbc="T T T"
Mn 0.0000 0.0000 0.0000
Al 2.4707 1.2923 0.0000
Al 1.8352 -0.6567 1.8558
Al 1.2923 3.7842 0.0000
Al 0.6567 1.8352 1.8558
```

Largest 10 diffraction maxima, most intense first, 2θ from 10° to 90°:
d [Å]  intensity
2.234  100
1.978  33
1.185  23
1.353  18
1.856  13
4.423  13
1.399  11
1.131  10
1.117  10
3.192  8